This entry pairs a crystal structure of CrSbF10 with its simulated X-ray diffraction stick pattern. Radiation: Cu Ka. Structure: the PBE+U geometry in Alexandria.

```
data_CrSbF10
_cell_length_a 5.815
_cell_length_b 10.543
_cell_length_c 12.450
_cell_angle_alpha 90.00
_cell_angle_beta 100.30
_cell_angle_gamma 90.00
_symmetry_space_group_name_H-M 'P 1 21/c 1'
_symmetry_Int_Tables_number 14
loop_
_symmetry_equiv_pos_as_xyz
'x,y,z'
'-x,-y,-z'
'-x,y+1/2,-z+1/2'
'x,-y+1/2,z+1/2'
loop_
_atom_site_label
_atom_site_type_symbol
_atom_site_fract_x
_atom_site_fract_y
_atom_site_fract_z
_atom_site_occupancy
Cr1 Cr 0.177 0.245 0.302 1
Sb1 Sb 0.500 0.000 0.000 1
Sb2 Sb 0.500 0.000 0.500 1
F1 F 0.020 0.700 0.621 1
F2 F 0.030 0.109 0.255 1
F3 F 0.079 0.170 0.684 1
F4 F 0.233 0.577 0.038 1
F5 F 0.253 0.053 0.070 1
F6 F 0.306 0.153 0.447 1
F7 F 0.330 0.647 0.448 1
F8 F 0.358 0.093 0.864 1
F9 F 0.429 0.573 0.859 1
F10 F 0.448 0.206 0.273 1
```

Most intense lines, 2θ from 10° to 90°, by angle:
| Position (°2θ) | intensity | h k l |
| --- | --- | --- |
| 14.46 | 238 | 0 0 2 |
| 15.49 | 343 | 1 0 0 |
| 16.77 | 223 | 0 2 0 |
| 17.64 | 225 | 1 1 0 |
| 19.24 | 812 | 1 0 -2 |
| 22.25 | 1000 | 0 2 2 |
| 22.94 | 657 | 1 2 0 |
| 23.09 | 164 | 1 0 2 |
| 28.70 | 311 | 1 2 2 |
| 35.67 | 197 | 1 0 4 |
| 39.02 | 190 | 2 0 -4 |
| 53.17 | 200 | 1 2 6 |

***

This entry pairs a crystal structure of SrNiAg2F8 with its simulated X-ray diffraction stick pattern. Radiation: Cu Ka. Structure: the PBE+U geometry in Alexandria.

```
data_SrNiAg2F8
_cell_length_a 5.869
_cell_length_b 5.869
_cell_length_c 9.969
_cell_angle_alpha 90.00
_cell_angle_beta 90.00
_cell_angle_gamma 90.00
_symmetry_space_group_name_H-M 'I -4'
_symmetry_Int_Tables_number 82
loop_
_symmetry_equiv_pos_as_xyz
'x,y,z'
'y,-x,-z'
'-x,-y,z'
'-y,x,-z'
'x+1/2,y+1/2,z+1/2'
'y+1/2,-x+1/2,-z+1/2'
'-x+1/2,-y+1/2,z+1/2'
'-y+1/2,x+1/2,-z+1/2'
loop_
_atom_site_label
_atom_site_type_symbol
_atom_site_fract_x
_atom_site_fract_y
_atom_site_fract_z
_atom_site_occupancy
Sr1 Sr 0.000 0.000 0.000 1
Ni1 Ni 0.000 0.500 0.750 1
Ag1 Ag 0.000 0.000 0.500 1
Ag2 Ag 0.000 0.500 0.250 1
F1 F 0.117 0.681 0.472 1
F2 F 0.131 0.203 0.780 1
```

Most intense lines, 2θ from 10° to 90°, by angle:
| Position (°2θ) | intensity | h k l |
| --- | --- | --- |
| 27.98 | 1000 | 1 1 2 |
| 30.46 | 354 | 2 0 0 |
| 35.36 | 101 | 1 2 1 |
| 36.04 | 270 | 0 0 4 |
| 43.62 | 181 | 2 2 0 |
| 47.89 | 219 | 2 0 4 |
| 52.62 | 551 | 3 1 2 |
| 57.82 | 151 | 2 2 4 |
| 59.97 | 124 | 1 1 6 |
| 71.95 | 98 | 2 4 0 |
| 77.03 | 144 | 3 1 6 |
| 83.19 | 123 | 2 4 4 |